This entry pairs a crystal structure of Ce2YPaTc2 with its simulated X-ray diffraction stick pattern. Radiation: copper Kα. Structure: a DFT-relaxed cell (PBE, Alexandria).
Lines closer than 0.1° are merged.

Crystal structure
Unit cell a=4.171 b=9.679 c=7.094 alpha=90.00 beta=90.00 gamma=90.00
Sites, in units of the cell vectors:
Ce1 0.000 0.080 0.000
Ce2 0.000 0.920 0.500
Ce3 0.500 0.160 0.260
Ce4 0.500 0.840 0.760
Y1 0.500 0.438 0.956
Y2 0.500 0.562 0.456
Pa1 0.000 0.292 0.596
Pa2 0.000 0.708 0.096
Tc1 0.000 0.372 0.273
Tc2 0.000 0.628 0.773
Tc3 0.500 0.165 0.729
Tc4 0.500 0.835 0.229

Main lines, most intense first (2θ from 5° to 70°):
- 2θ 34.46, intensity 100.0, (1 1 2)
- 2θ 30.99, intensity 97.4, (1 2 1)
- 2θ 35.17, intensity 91.0, (1 3 0)
- 2θ 30.44, intensity 68.4, (0 3 1)
- 2θ 43.39, intensity 60.0, (2 0 0)
- 2θ 33.16, intensity 50.7, (1 0 2)